Simulated powder XRD pattern
Compound: Sm2Hg6Bi
Radiation: CuKα
Structure: a cell relaxed with PBE

Peak list (8 most intense, 2θ from 10° to 90°, most intense first)
Position (°2θ)  d [Å]  I/Imax
34.68  2.587  100
33.14  2.703  96
32.64  2.744  48
36.11  2.488  45
65.09  1.433  33
49.46  1.843  30
47.99  1.896  18
43.78  2.068  18

Structure:
a b c (Å): 8.736 8.736 3.443
angles (deg): 90.02 90.02 62.65
Sites, in units of the cell vectors:
1 Sm 0.164 0.164 0.498
2 Sm 0.836 0.836 0.502
3 Hg 0.168 0.832 0.000
4 Hg 0.169 0.497 0.997
5 Hg 0.497 0.169 0.997
6 Hg 0.503 0.831 0.003
7 Hg 0.831 0.503 0.003
8 Hg 0.832 0.168 0.000
9 Bi 0.500 0.500 0.500